Diffraction record for V3GeC. The powder X-ray diffraction pattern is theoretical, not measured: it uses a structure optimized by DFT (PBE) and Cu Kα.
Neutral-atom scattering factors, no anomalous dispersion.

Crystal structure
```
V3GeC
1.0
1.529 -5.037 0.000
1.529 5.037 0.000
0.000 0.000 7.889
V Ge C
6 2 2
Direct
0.040 0.960 0.750
0.371 0.629 0.547
0.371 0.629 0.953
0.629 0.371 0.047
0.629 0.371 0.453
0.960 0.040 0.250
0.256 0.744 0.250
0.744 0.256 0.750
0.000 0.000 0.000
0.000 0.000 0.500
```

Principal peaks in the range 2θ from 10° to 90°, by intensity:
2theta, d/Å, I_rel
41.55, 2.173, 100
42.59, 2.123, 86
38.30, 2.350, 66
46.43, 1.956, 62
39.87, 2.261, 58
38.63, 2.331, 43
46.02, 1.972, 33
73.14, 1.294, 31
76.84, 1.241, 27
60.56, 1.529, 25
32.64, 2.743, 21
82.70, 1.167, 20